(1)
Starting from a cell relaxed with PBE, the X-ray powder pattern of AcEuTlCu was computed for Cu Kα.
Lines closer than 0.1° are merged.

Structure:
Lattice parameters (Å, degrees): 7.8465 7.8465 7.8465 90.00 90.00 90.00
Space group F-43m (No. 216)
Inequivalent atoms, fractional coordinates:
Ac: 0.0000 0.0000 0.0000
Eu: 0.0000 0.0000 0.5000
Tl: 0.2500 0.2500 0.7500
Cu: 0.2500 0.2500 0.2500

Most intense lines, 10° ≤ 2θ ≤ 90°, in order of rising 2θ:
(1 1 1), 2θ 19.6, 4.530 Å, I 11; (2 0 0), 2θ 22.7, 3.923 Å, I 3; (2 2 0), 2θ 32.3, 2.774 Å, I 100; (3 1 1), 2θ 38.0, 2.366 Å, I 7; (4 0 0), 2θ 46.3, 1.962 Å, I 19; (3 3 1), 2θ 50.7, 1.800 Å, I 3; (4 2 2), 2θ 57.5, 1.602 Å, I 39; (5 1 1), 2θ 61.4, 1.510 Å, I 2; (4 4 0), 2θ 67.5, 1.387 Å, I 12; (5 3 1), 2θ 71.1, 1.326 Å, I 2; (6 2 0), 2θ 76.8, 1.241 Å, I 17; (4 4 4), 2θ 85.8, 1.133 Å, I 4

(2)
Starting from a cell relaxed with PBE, the X-ray powder pattern of AcCu2F6 was computed for Cu Kα.
Lines closer than 0.1° are merged.

Structure:
Lattice parameters (Å, degrees): 5.5082 5.5082 5.2960 90.00 90.00 120.00
Space group P-31m (No. 162)
Inequivalent atoms, fractional coordinates:
Ac: 0.0000 0.0000 0.0000
Cu: 0.3333 0.6667 0.5000
F: 0.0000 0.3570 0.2748

Most intense lines, 10° ≤ 2θ ≤ 90°, in order of rising 2θ:
(1 0 0), 2θ 18.6, 4.770 Å, I 23; (1 0 1), 2θ 25.1, 3.544 Å, I 100; (1 1 0), 2θ 32.5, 2.754 Å, I 28; (2 -1 1), 2θ 36.8, 2.443 Å, I 8; (1 0 2), 2θ 38.9, 2.315 Å, I 10; (2 0 1), 2θ 41.5, 2.175 Å, I 26; (1 1 2), 2θ 47.6, 1.909 Å, I 36; (2 1 1), 2θ 53.7, 1.707 Å, I 25; (1 0 3), 2θ 55.5, 1.656 Å, I 11; (3 0 0), 2θ 58.0, 1.590 Å, I 12; (4 -1 1), 2θ 73.8, 1.284 Å, I 10; (3 -1 3), 2θ 75.3, 1.261 Å, I 9

(3)
Starting from a cell relaxed with PBE, the X-ray powder pattern of LiAcCu2F8 was computed for Cu Kα.
Lines closer than 0.1° are merged.

Structure:
Lattice parameters (Å, degrees): 5.6112 5.6112 10.5057 90.00 90.00 90.00
Space group I-4 (No. 82)
Inequivalent atoms, fractional coordinates:
Li: 0.0000 0.0000 0.0000
Ac: 0.0000 0.5000 0.2500
Cu: 0.0000 0.0000 0.5000
Cu: 0.0000 0.5000 0.7500
F: 0.1227 0.7994 0.8030
F: 0.1603 0.2897 0.4501

Most intense lines, 10° ≤ 2θ ≤ 90°, in order of rising 2θ:
(0 0 2), 2θ 16.9, 5.253 Å, I 32; (1 0 1), 2θ 17.9, 4.949 Å, I 61; (1 1 0), 2θ 22.4, 3.968 Å, I 32; (1 1 2), 2θ 28.2, 3.166 Å, I 100; (1 0 3), 2θ 30.1, 2.971 Å, I 18; (2 0 0), 2θ 31.9, 2.806 Å, I 24; (0 0 4), 2θ 34.1, 2.626 Å, I 22; (2 0 2), 2θ 36.3, 2.475 Å, I 24; (2 1 1), 2θ 36.8, 2.441 Å, I 32; (1 1 4), 2θ 41.2, 2.190 Å, I 18; (2 0 4), 2θ 47.4, 1.917 Å, I 24; (1 3 2), 2θ 54.6, 1.681 Å, I 45